Calculated X-ray diffraction stick pattern of Tl6InPb2 for λ = 1.5418 Å (Cu Kα), from a crystal structure in Alexandria, relaxed with GGA-PBE.
Peak positions follow from Bragg's law for the DFT cell and can differ from measured ones.

Top 10 peaks for 10° ≤ 2θ ≤ 90°, sorted by position:
| d/Å | Rel. int. |
| --- | --- |
| 3.136 | 44 |
| 2.931 | 20 |
| 2.797 | 46 |
| 2.749 | 34 |
| 2.649 | 100 |
| 2.067 | 23 |
| 1.811 | 37 |
| 1.540 | 32 |
| 1.512 | 35 |
| 1.495 | 18 |

Cell: 3.6213 3.6213 24.7399 Å, 90.00 90.00 120.00°
Space group P-6m2 (No. 187)
Symmetry-distinct sites (fractional):
Tl  0.0000  0.0000  0.0648
Tl  0.0000  0.0000  0.2846
Tl  0.3333  0.6667  0.3963
In  0.0000  0.0000  0.5000
Pb  0.3333  0.6667  0.1740